1.
VCuO2: simulated XRD peak list (Cu Kα), based on the PBE+U geometry in the Materials Project.
Peak positions follow from Bragg's law for the DFT cell and can differ from measured ones.

The 10 most intense peaks (2θ from 15° to 90°), sorted by position:
- (0 0 6), 30.74 deg, rel. 29
- (1 0 1), 34.57 deg, rel. 14
- (0 1 2), 35.74 deg, rel. 100
- (1 0 4), 40.10 deg, rel. 36
- (0 1 8), 54.73 deg, rel. 31
- (1 1 0), 61.18 deg, rel. 25
- (1 0 10), 64.08 deg, rel. 25
- (1 1 6), 70.03 deg, rel. 15
- (2 0 2), 72.92 deg, rel. 10
- (2 0 8), 86.59 deg, rel. 7

Structure:
Cell: 3.0296 3.0296 17.4493 Å, 90.00 90.00 120.00°
Space group R-3m (No. 166, hexagonal axes)
Asymmetric unit:
V  0.0000  0.0000  0.0000
Cu  0.0000  0.0000  0.5000
O  0.0000  0.0000  0.3940


2.
V2Cu3O11: simulated XRD peak list (Cu Kα), based on the PBE+U geometry in the Materials Project.
Peak positions follow from Bragg's law for the DFT cell and can differ from measured ones.

The 10 most intense peaks (2θ from 15° to 90°), sorted by position:
- (1 1 -1), 21.00 deg, rel. 38
- (2 0 -2), 27.75 deg, rel. 63
- (1 1 -2), 29.51 deg, rel. 100
- (1 1 2), 31.26 deg, rel. 55
- (4 0 0), 33.36 deg, rel. 80
- (4 0 -1), 34.07 deg, rel. 49
- (2 2 0), 36.09 deg, rel. 72
- (2 2 1), 38.93 deg, rel. 77
- (2 2 -4), 61.20 deg, rel. 37
- (6 2 0), 61.42 deg, rel. 57

Structure:
Cell: 10.829 5.617 7.354 Å, 90.00 97.36 90.00°
Space group C2/m (No. 12)
Asymmetric unit:
V  0.006  0.000  0.244
Cu  0.000  0.500  0.500
Cu  0.250  0.250  0.500
O  0.000  0.000  0.000
O  0.067  0.242  0.685
O  0.154  0.500  0.398
O  0.168  0.000  0.357
O  0.177  0.500  0.029


3.
V2Cu3O8: simulated XRD peak list (Cu Kα), based on the PBE+U geometry in the Materials Project.
Peak positions follow from Bragg's law for the DFT cell and can differ from measured ones.

The 10 most intense peaks (2θ from 15° to 90°), sorted by position:
- (0 1 0), 17.72 deg, rel. 20
- (1 1 0), 20.20 deg, rel. 33
- (1 0 -1), 22.57 deg, rel. 17
- (1 1 -1), 27.38 deg, rel. 100
- (0 1 2), 28.20 deg, rel. 72
- (1 -1 0), 30.66 deg, rel. 57
- (1 1 2), 31.64 deg, rel. 18
- (1 2 1), 31.77 deg, rel. 46
- (1 0 2), 36.34 deg, rel. 25
- (1 -2 0), 47.24 deg, rel. 22

Structure:
Cell: 5.138 5.782 6.583 Å, 70.03 87.37 67.59°
Space group P-1 (No. 2)
Asymmetric unit:
V  0.140  0.172  0.211
Cu  0.239  0.326  0.665
Cu  0.500  0.500  0.000
O  0.122  0.371  0.373
O  0.185  0.832  0.845
O  0.284  0.306  0.963
O  0.365  0.852  0.348